Record 1
Theoretical powder diffractogram
Compound: CsAu2Cl8
Radiation: a wavelength of 1.5418 Å
Structure: the GGA-PBE geometry in Alexandria
Lines closer than 0.1° are merged.

Cell and atoms:
Lattice parameters (Å, degrees): 14.5329 7.2703 8.7649 90.00 108.26 90.00
Space group C2/m (No. 12)
Asymmetric unit:
Cs 0.0000 0.0000 0.0000 (multiplicity 2)
Au 0.1562 0.0000 0.5857 (multiplicity 4)
Cl 0.0750 0.5000 0.0370 (multiplicity 4)
Cl 0.1102 0.2182 0.3823 (multiplicity 8)
Cl 0.2143 0.0000 0.8617 (multiplicity 4)

Main lines, by angle (15° ≤ 2θ ≤ 90°):
2θ 16.14, rel. 100, hkl 1 1 -1; 2θ 21.35, rel. 32, hkl 0 0 2; 2θ 22.54, rel. 72, hkl 3 1 -1; 2θ 22.88, rel. 39, hkl 3 1 0; 2θ 23.71, rel. 41, hkl 1 1 -2; 2θ 24.49, rel. 44, hkl 0 2 0; 2θ 24.64, rel. 80, hkl 4 0 -1; 2θ 27.78, rel. 42, hkl 3 1 1; 2θ 31.24, rel. 53, hkl 2 2 1; 2θ 32.61, rel. 46, hkl 2 2 -2

Record 2
Theoretical powder diffractogram
Compound: La2PmNd5Dy
Radiation: a wavelength of 1.5418 Å
Structure: the GGA-PBE geometry in Alexandria
Lines closer than 0.1° are merged.

Cell and atoms:
Lattice parameters (Å, degrees): 8.7861 8.7861 16.4942 90.00 90.00 90.00
Space group I4/mcm (No. 140)
Asymmetric unit:
La 0.1198 0.3802 0.0000 (multiplicity 8)
Pm 0.0000 0.0000 0.2500 (multiplicity 4)
Nd 0.0000 0.0000 0.0000 (multiplicity 4)
Nd 0.2181 0.2819 0.3571 (multiplicity 16)
Dy 0.0000 0.5000 0.2500 (multiplicity 4)

Main lines, by angle (15° ≤ 2θ ≤ 90°):
2θ 27.91, rel. 39, hkl 2 1 3; 2θ 28.74, rel. 54, hkl 2 2 0; 2θ 29.71, rel. 100, hkl 2 0 4; 2θ 34.05, rel. 11, hkl 3 1 2; 2θ 37.30, rel. 13, hkl 3 2 1; 2θ 38.64, rel. 12, hkl 2 0 6; 2θ 42.59, rel. 11, hkl 4 0 2; 2θ 43.92, rel. 12, hkl 0 0 8; 2θ 51.53, rel. 28, hkl 4 2 4; 2θ 53.33, rel. 13, hkl 2 2 8

Record 3
Theoretical powder diffractogram
Compound: SbPSe
Radiation: a wavelength of 1.5418 Å
Structure: the GGA-PBE geometry in Alexandria
Lines closer than 0.1° are merged.

Cell and atoms:
Lattice parameters (Å, degrees): 3.8449 6.6937 7.3706 85.85 77.51 77.27
Space group P1 (No. 1)
Asymmetric unit:
Sb 0.0000 0.0000 0.0000 (multiplicity 1)
Sb 0.0376 0.4932 0.2728 (multiplicity 1)
P 0.3292 0.9574 0.2856 (multiplicity 1)
P 0.3972 0.6689 0.4552 (multiplicity 1)
Se 0.6572 0.7636 0.8596 (multiplicity 1)
Se 0.9485 0.1757 0.5018 (multiplicity 1)

Main lines, by angle (15° ≤ 2θ ≤ 90°):
2θ 18.11, rel. 96, hkl 0 1 1; 2θ 18.59, rel. 59, hkl 0 1 -1; 2θ 24.25, rel. 61, hkl 1 0 0; 2θ 28.65, rel. 83, hkl 0 1 -2; 2θ 29.51, rel. 35, hkl 1 0 -1; 2θ 30.36, rel. 85, hkl 0 2 -1; 2θ 31.51, rel. 100, hkl 1 1 2; 2θ 32.66, rel. 48, hkl 1 2 0; 2θ 34.63, rel. 49, hkl -1 1 1; 2θ 45.69, rel. 33, hkl 1 2 3